Structure and simulated powder XRD pattern of PrThTeSe2 (the PBE geometry in Alexandria; Cu Kα X-rays).
Kinematic intensities with the Lorentz-polarization factor, no thermal factor.

Unit cell a=7.826 b=7.826 c=7.826 alpha=144.78 beta=144.78 gamma=50.66
Atoms (fractional coordinates):
Pr 0.000 0.000 0.000
Th 0.263 0.263 0.000
Te 0.639 0.639 0.000
Se 0.379 0.879 0.500
Se 0.879 0.379 0.500

Peak list (10 most intense, 5 to 70 degrees two-theta, by angle)
| 2θ (°) | Rel. int. |
| --- | --- |
| 19.77 | 16 |
| 26.67 | 100 |
| 29.52 | 25 |
| 36.99 | 52 |
| 38.00 | 37 |
| 47.04 | 33 |
| 54.09 | 15 |
| 54.84 | 13 |
| 65.93 | 14 |
| 67.99 | 14 |